[1]
Ba8In2Sn: computed PXRD pattern (Cu Kα, 1.54184 Å), based on DFT lattice parameters and positions (GGA-PBE).

Atomic structure:
```
Ba8In2Sn
1.0
-2.9494 4.8329 8.7340
2.9494 -4.8329 8.7340
2.9494 4.8329 -8.7340
Ba In Sn
8 2 1
Cartesian
2.9494 2.6948 -2.7318 Ba
0.0000 0.0000 2.4878 Ba
0.0000 3.0537 0.0000 Ba
2.9494 2.6948 2.7318 Ba
0.0000 2.1380 6.0021 Ba
0.0000 6.6120 0.0000 Ba
0.0000 0.0000 14.9802 Ba
0.0000 2.1380 11.4658 Ba
2.9494 0.0000 5.4120 In
0.0000 4.8329 3.3220 In
2.9494 0.0000 0.0000 Sn
```

Largest 8 diffraction maxima, in order of rising 2θ, 10 to 80 degrees two-theta:
two_theta	Rel. int.
27.03	22.4
28.16	12.1
28.37	100.0
30.30	27.6
30.71	18.8
43.68	15.4
52.65	17.6
54.17	9.8

[2]
KLiPaI6: computed PXRD pattern (Cu Kα, 1.54184 Å), based on DFT lattice parameters and positions (GGA-PBE).

Atomic structure:
```
KLiPaI6
1.0
7.8244 0.0000 0.0000
-3.9122 6.7761 0.0000
0.0000 0.0000 15.7320
K Li Pa I
2 2 2 12
Cartesian
0.0000 0.0000 0.0000 K
0.0000 0.0000 7.8660 K
0.0000 4.5174 3.9330 Li
3.9122 2.2587 11.7990 Li
0.0000 4.5174 11.7990 Pa
3.9122 2.2587 3.9330 Pa
6.3980 2.4700 2.1833 I
-1.4259 2.4702 10.0493 I
5.3381 4.3059 5.6827 I
-2.4859 4.3061 13.5487 I
2.8522 0.0002 2.1833 I
-1.0599 6.7759 10.0493 I
1.4263 2.4700 5.6827 I
1.4259 2.4702 13.5487 I
4.9721 0.0002 5.6827 I
1.0600 6.7759 13.5487 I
2.4863 4.3059 2.1833 I
2.4859 4.3061 10.0493 I
```

Largest 8 diffraction maxima, in order of rising 2θ, 10 to 80 degrees two-theta:
two_theta	Rel. int.
11.25	26.6
14.23	33.6
17.27	18.3
25.43	100.0
32.27	57.2
39.91	33.4
41.46	29.4
47.92	14.5

[3]
TbSm3H8: computed PXRD pattern (Cu Kα, 1.54184 Å), based on DFT lattice parameters and positions (GGA-PBE).

Atomic structure:
```
TbSm3H8
1.0
5.3291 0.0000 0.0000
0.0000 5.3291 0.0000
0.0000 0.0000 5.3291
Tb Sm H
1 3 8
Cartesian
0.0000 0.0000 0.0000 Tb
0.0000 2.6645 2.6645 Sm
2.6645 0.0000 2.6645 Sm
2.6645 2.6645 0.0000 Sm
1.3110 1.3110 1.3110 H
1.3110 1.3110 4.0181 H
1.3110 4.0181 1.3110 H
1.3110 4.0181 4.0181 H
4.0181 1.3110 1.3110 H
4.0181 1.3110 4.0181 H
4.0181 4.0181 1.3110 H
4.0181 4.0181 4.0181 H
```

Largest 7 diffraction maxima, in order of rising 2θ, 10 to 80 degrees two-theta:
two_theta	Rel. int.
29.02	100.0
33.64	48.9
48.31	38.0
57.34	44.4
60.15	12.5
70.71	6.0
78.19	17.9